This entry pairs a crystal structure of Rb2Tm2SO3 with its calculated XRD peak list. Radiation: λ = 1.5418 Å (Cu Kα). Structure: a cell relaxed with PBE.

Largest 10 diffraction maxima, in order of falling intensity, 2θ = 5–70°:
- 2θ = 32.1°, I 1000, hkl 0 1 2
- 2θ = 13.0°, I 334, hkl 0 0 2
- 2θ = 26.2°, I 288, hkl 0 0 4
- 2θ = 35.4°, I 283, hkl 1 0 3
- 2θ = 51.7°, I 277, hkl 1 1 0
- 2θ = 39.6°, I 254, hkl 1 0 4
- 2θ = 50.1°, I 253, hkl 0 1 6
- 2θ = 58.9°, I 190, hkl 1 1 4
- 2θ = 29.2°, I 169, hkl 1 0 0
- 2θ = 62.2°, I 153, hkl 2 0 2

Cell and atoms:
Cell lengths 3.5357, 3.5357, 13.5935 Å; angles 90.00, 90.00, 120.00 degrees
Element x y z (fractional)
Rb 0.0000 0.0000 0.0000
Rb 0.3333 0.6667 0.5317
Tm 0.6667 0.3333 0.2962
Tm 0.6667 0.3333 0.7639
S 0.3333 0.6667 0.1739
O 0.0000 0.0000 0.3728
O 0.0000 0.0000 0.6813
O 0.3333 0.6667 0.8419